Structure and computed powder diffraction line list of CePm5Y6 (a crystal structure in Alexandria, relaxed with PBE; Cu Ka).
Neutral-atom scattering factors, no anomalous dispersion.

Cell and atoms:
Cell: 6.256 6.256 11.871 Å, 95.03 95.03 119.98°
Element x y z (fractional)
Ce: 0.000 0.000 0.000
Pm: 0.167 0.833 0.500
Pm: 0.333 0.667 0.000
Pm: 0.500 0.500 0.500
Pm: 0.667 0.333 0.000
Pm: 0.833 0.167 0.500
Y: 0.083 0.414 0.249
Y: 0.248 0.248 0.751
Y: 0.414 0.083 0.249
Y: 0.586 0.917 0.751
Y: 0.752 0.752 0.249
Y: 0.917 0.586 0.751

The 10 most intense peaks (5° ≤ 2θ ≤ 70°), sorted by position:
15.16°, rel. 9
30.34°, rel. 100
30.60°, rel. 33
35.25°, rel. 67
50.54°, rel. 24
50.88°, rel. 23
60.09°, rel. 14
60.24°, rel. 28
60.54°, rel. 14
63.11°, rel. 12